Structure and computed powder diffraction line list of Tb3Nd4Sc (a crystal structure in Alexandria, relaxed with PBE; Cu Ka).
Intensities are scaled so that the largest is 1000.

Structural model:
Cell lengths 11.511, 7.285, 6.274 Å; angles 90.00, 90.00, 90.00 degrees
Positions (direct):
Tb: 0.000 0.122 0.000
Tb: 0.250 0.119 0.329
Tb: 0.250 0.881 0.829
Tb: 0.500 0.878 0.500
Tb: 0.750 0.119 0.329
Tb: 0.750 0.881 0.829
Nd: 0.000 0.368 0.506
Nd: 0.000 0.629 0.986
Nd: 0.242 0.631 0.337
Nd: 0.258 0.369 0.837
Nd: 0.500 0.371 0.486
Nd: 0.500 0.632 0.006
Nd: 0.742 0.369 0.837
Nd: 0.758 0.631 0.337
Sc: 0.000 0.884 0.496
Sc: 0.500 0.116 0.996

Peak list (10 most intense, 2θ = 15–90°, sorted by position)
2θ (°)  I/Imax
28.3  237
28.5  125
31.1  372
32.4  1000
32.5  486
42.6  238
50.3  189
56.1  204
60.3  217
61.0  158

---

Structure and computed powder diffraction line list of KBi2TeO6 (a crystal structure in Alexandria, relaxed with PBE; Cu Ka).
Intensities are scaled so that the largest is 1000.

Structural model:
Cell lengths 6.563, 6.563, 6.563 Å; angles 54.69, 54.69, 54.69 degrees
Positions (direct):
K: 0.000 0.000 0.000
Bi: 0.248 0.248 0.248
Bi: 0.778 0.778 0.778
Te: 0.451 0.451 0.451
O: 0.086 0.594 0.445
O: 0.211 0.497 0.843
O: 0.445 0.086 0.594
O: 0.497 0.843 0.211
O: 0.594 0.445 0.086
O: 0.843 0.211 0.497

Peak list (10 most intense, 2θ = 15–90°, sorted by position)
2θ (°)  I/Imax
20.1  795
27.4  812
29.6  1000
31.8  226
40.8  313
44.3  478
47.3  185
51.2  320
52.6  278
58.4  246

---

Structure and computed powder diffraction line list of Li2Zn5Ag2 (a crystal structure in Alexandria, relaxed with PBE; Cu Ka).
Intensities are scaled so that the largest is 1000.

Structural model:
Cell lengths 9.057, 9.057, 9.057 Å; angles 58.75, 149.22, 131.27 degrees
Positions (direct):
Li: 0.073 0.090 0.163
Li: 0.073 0.410 0.483
Li: 0.927 0.590 0.517
Li: 0.927 0.910 0.837
Zn: 0.048 0.701 0.847
Zn: 0.274 0.423 0.009
Zn: 0.274 0.764 0.351
Zn: 0.414 0.264 0.991
Zn: 0.414 0.923 0.649
Zn: 0.596 0.813 0.113
Zn: 0.596 0.982 0.282
Zn: 0.700 0.313 0.718
Zn: 0.700 0.482 0.887
Zn: 0.854 0.201 0.153
Ag: 0.188 0.041 0.647
Ag: 0.394 0.541 0.353
Ag: 0.674 0.174 0.500
Ag: 0.674 0.674 0.000

Peak list (10 most intense, 2θ = 15–90°, sorted by position)
2θ (°)  I/Imax
22.0  444
22.5  188
23.8  240
24.7  238
37.4  294
40.8  759
40.9  1000
42.0  683
43.1  393
57.5  226